Entry 1:
Simulated X-ray diffraction stick pattern
Compound: CaPmTlGa
Radiation: Cu Kα (weighted mean of Kα1 and Kα2)
Structure: the PBE geometry in Alexandria
Lines closer than 0.1° are merged.

Cell and atoms:
Lattice parameters (Å, degrees): 3.7562 3.7562 7.6478 90.00 90.00 90.00
Space group P4mm (No. 99)
One atom of each set of equivalent atoms:
Ca1 0.0000 0.0000 0.0000 x1
Pm1 0.0000 0.0000 0.4678 x1
Tl1 0.5000 0.5000 0.7392 x1
Ga1 0.5000 0.5000 0.2366 x1

The 6 most intense peaks (2θ = 10–90°), in order of rising 2θ:
| d_spacing | I/Imax | h k l |
| --- | --- | --- |
| 7.648 | 29 | 0 0 1 |
| 3.372 | 28 | 1 0 1 |
| 2.680 | 100 | 1 0 2 |
| 2.656 | 50 | 1 1 0 |
| 1.878 | 18 | 2 0 0 |
| 1.538 | 37 | 2 1 2 |

Entry 2:
Simulated X-ray diffraction stick pattern
Compound: CaPr3Ga3
Radiation: Cu Kα (weighted mean of Kα1 and Kα2)
Structure: the PBE geometry in Alexandria
Lines closer than 0.1° are merged.

Cell and atoms:
Lattice parameters (Å, degrees): 10.4187 10.5842 7.2235 90.00 90.00 90.00
Space group Cmmm (No. 65)
One atom of each set of equivalent atoms:
Ca1 0.2216 0.0000 0.0000 x4
Pr1 0.0000 0.2315 0.5000 x4
Pr2 0.0000 0.2764 0.0000 x4
Pr3 0.2429 0.5000 0.5000 x4
Ga1 0.0000 0.5000 0.2622 x4
Ga2 0.2500 0.2500 0.2443 x8

The 6 most intense peaks (2θ = 10–90°), in order of rising 2θ:
| d_spacing | I/Imax | h k l |
| --- | --- | --- |
| 3.712 | 16 | 2 2 0 |
| 2.646 | 24 | 0 4 0 |
| 2.605 | 26 | 4 0 0 |
| 2.589 | 100 | 2 2 2 |
| 1.856 | 16 | 4 4 0 |
| 1.501 | 17 | 6 2 2 |

Entry 3:
Simulated X-ray diffraction stick pattern
Compound: Ca4PrGa4
Radiation: Cu Kα (weighted mean of Kα1 and Kα2)
Structure: the PBE geometry in Alexandria
Lines closer than 0.1° are merged.

Cell and atoms:
Lattice parameters (Å, degrees): 9.4677 9.4677 6.1707 90.00 90.00 90.00
Space group P4_2/n (No. 86, origin choice 2)
One atom of each set of equivalent atoms:
Ca1 0.0714 0.6596 0.1237 x8
Pr1 0.2500 0.2500 0.2500 x2
Ga1 0.0195 0.6092 0.6157 x8

The 6 most intense peaks (2θ = 10–90°), in order of rising 2θ:
| d_spacing | I/Imax | h k l |
| --- | --- | --- |
| 5.170 | 76 | 1 0 1 |
| 3.491 | 38 | 1 2 1 |
| 2.994 | 100 | 1 3 0 |
| 2.934 | 34 | 1 0 2 |
| 2.416 | 38 | 2 3 1 |
| 2.151 | 37 | 4 1 1 |